Structure and theoretical X-ray powder pattern of BaAl2Si2 (a crystal structure in the Materials Project, relaxed with GGA-PBE; CuKα).
Peak positions follow from Bragg's law for the DFT cell and can differ from measured ones.

Main lines, in order of rising 2θ (10° ≤ 2θ ≤ 90°):
| h k l | 2θ/deg | d [Å] | intensity |
| --- | --- | --- | --- |
| 0 0 2 | 17.35 | 5.111 | 254 |
| 0 2 1 | 18.51 | 4.792 | 363 |
| 1 1 0 | 22.00 | 4.041 | 330 |
| 1 1 2 | 28.15 | 3.170 | 1000 |
| 0 2 3 | 30.99 | 2.886 | 490 |
| 1 3 1 | 33.38 | 2.685 | 776 |
| 0 4 1 | 34.20 | 2.622 | 290 |
| 2 0 0 | 41.48 | 2.177 | 224 |

Structural model:
Cell: 4.3536 10.8515 10.2221 Å, 90.00 90.00 90.00°
Space group Cmcm (No. 63)
Inequivalent atoms, fractional coordinates:
Ba  0.0000  0.0858  0.2500 (multiplicity 4)
Al  0.0000  0.3789  0.0345 (multiplicity 8)
Si  0.0000  0.2014  0.6324 (multiplicity 8)